1.
This entry pairs a crystal structure of Ba2AlSnS5 with its calculated XRD peak list. Radiation: Cu Kα (λ = 1.5418 Å). Structure: a structure optimized by DFT (GGA-PBE).
Peak positions follow from Bragg's law for the DFT cell and can differ from measured ones.

Principal peaks in the range 2θ from 5° to 70°, low angle first:
| 2θ/deg | I_rel |
| --- | --- |
| 22.6 | 669 |
| 23.8 | 202 |
| 26.5 | 183 |
| 27.4 | 180 |
| 30.2 | 385 |
| 30.5 | 1000 |
| 35.9 | 388 |
| 44.8 | 198 |

Crystal structure
a = 9.324 Å, b = 9.324 Å, c = 13.109 Å
α = 90.00°, β = 90.00°, γ = 154.94°
Fractional positions:
Ba  0.114  0.886  0.500
Ba  0.130  0.870  0.141
Ba  0.870  0.130  0.641
Ba  0.886  0.114  0.000
Al  0.442  0.558  0.246
Al  0.558  0.442  0.746
Sn  0.208  0.792  0.848
Sn  0.792  0.208  0.348
S  0.039  0.961  0.837
S  0.290  0.710  0.485
S  0.321  0.679  0.200
S  0.347  0.653  0.823
S  0.498  0.502  0.598
S  0.502  0.498  0.098
S  0.653  0.347  0.323
S  0.679  0.321  0.700
S  0.710  0.290  0.985
S  0.961  0.039  0.337

=====

2.
This entry pairs a crystal structure of BaTiAlS4 with its calculated XRD peak list. Radiation: Cu Kα (λ = 1.5418 Å). Structure: a structure optimized by DFT (GGA-PBE).
Peak positions follow from Bragg's law for the DFT cell and can differ from measured ones.

Principal peaks in the range 2θ from 5° to 70°, low angle first:
| 2θ/deg | I_rel |
| --- | --- |
| 15.0 | 617 |
| 17.3 | 340 |
| 24.6 | 1000 |
| 28.9 | 706 |
| 30.2 | 278 |
| 43.3 | 423 |
| 46.0 | 254 |
| 50.4 | 346 |

Crystal structure
a = 7.246 Å, b = 7.246 Å, c = 7.246 Å
α = 60.00°, β = 60.00°, γ = 60.00°
Fractional positions:
Ba  0.000  0.000  0.000
Ti  0.750  0.750  0.750
Al  0.500  0.500  0.500
S  0.130  0.623  0.623
S  0.623  0.130  0.623
S  0.623  0.623  0.130
S  0.623  0.623  0.623